(1)
# Fe4O3F5
Computed powder diffractogram, Cu Kα (λ = 1.5418 Å). Input: a crystal structure in the Materials Project, relaxed with PBE+U.
Intensities are scaled so that the largest is 100.

Cell and atoms:
Lattice parameters (Å, degrees): 9.574 6.182 10.404 90.00 113.24 90.00
Space group Cm (No. 8)
Asymmetric unit:
Fe: 0.000 0.000 0.000 (multiplicity 2)
Fe: 0.004 0.500 0.994 (multiplicity 2)
Fe: 0.130 0.263 0.739 (multiplicity 4)
Fe: 0.246 0.000 0.507 (multiplicity 2)
Fe: 0.258 0.500 0.491 (multiplicity 2)
Fe: 0.382 0.259 0.240 (multiplicity 4)
O: 0.080 0.500 0.843 (multiplicity 2)
O: 0.171 0.000 0.656 (multiplicity 2)
O: 0.183 0.500 0.643 (multiplicity 2)
O: 0.333 0.500 0.345 (multiplicity 2)
O: 0.425 0.000 0.145 (multiplicity 2)
O: 0.429 0.500 0.150 (multiplicity 2)
F: 0.076 0.000 0.847 (multiplicity 2)
F: 0.104 0.261 0.393 (multiplicity 4)
F: 0.153 0.263 0.096 (multiplicity 4)
F: 0.327 0.000 0.345 (multiplicity 2)
F: 0.352 0.237 0.894 (multiplicity 4)
F: 0.405 0.261 0.594 (multiplicity 4)

Top 8 peaks for 2θ from 5° to 70°, in order of rising 2θ:
index	d (Å)	intensity
2 0 1	3.505	96
2 0 -3	3.264	90
0 2 2	2.595	100
4 2 0	1.792	64
4 0 2	1.753	21
2 2 -5	1.725	51
0 4 0	1.545	22
0 2 6	1.416	40

***

(2)
# Sr3CaTi2Mn2O12
Computed powder diffractogram, Cu Kα (λ = 1.5418 Å). Input: a crystal structure in the Materials Project, relaxed with PBE+U.
Intensities are scaled so that the largest is 100.

Cell and atoms:
Lattice parameters (Å, degrees): 11.019 11.020 7.784 90.00 90.00 90.00
Space group Cmm2 (No. 35)
Asymmetric unit:
Sr: 0.000 0.247 0.000 (multiplicity 4)
Sr: 0.247 0.000 0.000 (multiplicity 4)
Sr: 0.247 0.000 0.505 (multiplicity 4)
Ca: 0.000 0.247 0.506 (multiplicity 4)
Ti: 0.000 0.500 0.254 (multiplicity 2)
Ti: 0.000 0.500 0.751 (multiplicity 2)
Ti: 0.250 0.250 0.254 (multiplicity 4)
Mn: 0.000 0.000 0.254 (multiplicity 2)
Mn: 0.000 0.000 0.751 (multiplicity 2)
Mn: 0.250 0.250 0.752 (multiplicity 4)
O: 0.000 0.000 0.003 (multiplicity 2)
O: 0.000 0.000 0.502 (multiplicity 2)
O: 0.000 0.500 0.002 (multiplicity 2)
O: 0.000 0.500 0.503 (multiplicity 2)
O: 0.123 0.124 0.255 (multiplicity 8)
O: 0.124 0.127 0.750 (multiplicity 8)
O: 0.125 0.374 0.255 (multiplicity 8)
O: 0.126 0.373 0.750 (multiplicity 8)
O: 0.250 0.250 0.000 (multiplicity 4)
O: 0.250 0.250 0.505 (multiplicity 4)

Top 8 peaks for 2θ from 5° to 70°, in order of rising 2θ:
index	d (Å)	intensity
0 0 1	7.785	2
2 0 0	5.510	2
2 0 1	4.497	2
4 0 0	2.754	100
4 0 2	2.249	16
4 4 0	1.947	42
6 2 2	1.590	37
8 0 0	1.377	24

***

(3)
# Sr2FeSnO6
Computed powder diffractogram, Cu Kα (λ = 1.5418 Å). Input: a crystal structure in the Materials Project, relaxed with PBE+U.
Intensities are scaled so that the largest is 100.

Cell and atoms:
Lattice parameters (Å, degrees): 8.102 15.997 16.146 90.00 90.00 90.00
Space group Fmmm (No. 69)
Asymmetric unit:
Sr: 0.249 0.118 0.000 (multiplicity 16)
Sr: 0.250 0.116 0.250 (multiplicity 16)
Fe: 0.000 0.000 0.126 (multiplicity 8)
Fe: 0.000 0.000 0.375 (multiplicity 8)
Sn: 0.000 0.250 0.125 (multiplicity 16)
O: 0.000 0.000 0.000 (multiplicity 4)
O: 0.000 0.000 0.252 (multiplicity 8)
O: 0.000 0.000 0.500 (multiplicity 4)
O: 0.000 0.120 0.126 (multiplicity 16)
O: 0.000 0.121 0.377 (multiplicity 16)
O: 0.000 0.247 0.000 (multiplicity 8)
O: 0.000 0.250 0.250 (multiplicity 8)
O: 0.242 0.000 0.125 (multiplicity 16)
O: 0.250 0.250 0.125 (multiplicity 16)

Top 8 peaks for 2θ from 5° to 70°, in order of rising 2θ:
index	d (Å)	intensity
2 0 4	2.859	52
2 4 0	2.844	100
4 0 0	2.026	18
0 0 8	2.018	18
0 8 0	2.000	17
4 4 4	1.649	20
2 4 8	1.646	20
2 8 4	1.639	18

***

(4)
# MgNi4O8
Computed powder diffractogram, Cu Kα (λ = 1.5418 Å). Input: a crystal structure in the Materials Project, relaxed with PBE+U.
Intensities are scaled so that the largest is 100.

Cell and atoms:
Lattice parameters (Å, degrees): 15.068 2.811 8.835 90.00 122.57 90.00
Space group Cm (No. 8)
Asymmetric unit:
Mg: 0.000 0.000 0.000 (multiplicity 2)
Ni: 0.162 0.000 0.353 (multiplicity 2)
Ni: 0.175 0.500 0.013 (multiplicity 2)
Ni: 0.327 0.000 0.991 (multiplicity 2)
Ni: 0.335 0.500 0.648 (multiplicity 2)
O: 0.083 0.000 0.886 (multiplicity 2)
O: 0.117 0.500 0.168 (multiplicity 2)
O: 0.176 0.500 0.504 (multiplicity 2)
O: 0.231 0.500 0.871 (multiplicity 2)
O: 0.271 0.000 0.134 (multiplicity 2)
O: 0.322 0.000 0.497 (multiplicity 2)
O: 0.382 0.000 0.834 (multiplicity 2)
O: 0.419 0.500 0.118 (multiplicity 2)

Top 8 peaks for 2θ from 5° to 70°, in order of rising 2θ:
index	d (Å)	intensity
0 0 1	7.446	87
2 0 -1	7.059	68
2 0 0	6.350	100
2 0 -2	4.410	48
0 0 2	3.725	32
0 0 3	2.482	34
1 1 -2	2.343	30
3 1 1	2.065	39

***

> What is the formula in the third record?

Sr2FeSnO6